# 1
Structure and calculated powder XRD pattern of Pa2TlPb9 (a structure optimized by DFT (PBE); a wavelength of 1.5418 Å).
Lines closer than 0.1° are merged.

Structure:
```
data_Pa2TlPb9
_chemical_formula_sum 'Pa2 Tl1 Pb9'
_cell_length_a 4.7923
_cell_length_b 4.7923
_cell_length_c 15.2543
_cell_angle_alpha 90.00
_cell_angle_beta 90.00
_cell_angle_gamma 90.00
_symmetry_space_group_name_H-M 'P 4/m m m'
_symmetry_Int_Tables_number 123
_symmetry_space_group_name_Hall '-P 4 2'
loop_
_atom_site_label
_atom_site_fract_x
_atom_site_fract_y
_atom_site_fract_z
Pa1 0.0000 0.0000 0.1515
Tl1 0.0000 0.0000 0.5000
Pb1 0.0000 0.5000 0.0000
Pb2 0.0000 0.5000 0.3251
Pb3 0.5000 0.5000 0.1644
Pb4 0.5000 0.5000 0.5000
```

Largest 10 diffraction maxima, sorted by position, 10 to 90 degrees two-theta:
hkl 1 1 3, 2θ 31.73, 2.820 Å, I = 100; hkl 0 0 6, 2θ 35.30, 2.542 Å, I = 18; hkl 2 0 0, 2θ 37.54, 2.396 Å, I = 33; hkl 2 0 6, 2θ 52.48, 1.744 Å, I = 23; hkl 2 2 0, 2θ 54.13, 1.694 Å, I = 12; hkl 1 1 9, 2θ 61.14, 1.516 Å, I = 13; hkl 3 1 3, 2θ 64.12, 1.452 Å, I = 28; hkl 2 2 6, 2θ 66.30, 1.410 Å, I = 12; hkl 3 1 9, 2θ 86.06, 1.130 Å, I = 11; hkl 3 3 3, 2θ 88.72, 1.103 Å, I = 6

# 2
Structure and calculated powder XRD pattern of Ti2Al2Cu7Pd (a structure optimized by DFT (PBE); a wavelength of 1.5418 Å).
Lines closer than 0.1° are merged.

Structure:
```
data_Ti2Al2Cu7Pd
_chemical_formula_sum 'Ti4 Al4 Cu14 Pd2'
_cell_length_a 5.2908
_cell_length_b 5.5273
_cell_length_c 11.5615
_cell_angle_alpha 90.00
_cell_angle_beta 90.00
_cell_angle_gamma 90.00
_symmetry_space_group_name_H-M 'C m m m'
_symmetry_Int_Tables_number 65
_symmetry_space_group_name_Hall '-C 2 2'
loop_
_atom_site_label
_atom_site_fract_x
_atom_site_fract_y
_atom_site_fract_z
Ti1 0.0000 0.0000 0.1707
Al1 0.0000 0.5000 0.2020
Cu1 0.0000 0.0000 0.5000
Cu2 0.0000 0.2870 0.0000
Cu3 0.2500 0.2500 0.3438
Pd1 0.0000 0.5000 0.5000
```

Largest 10 diffraction maxima, sorted by position, 10 to 90 degrees two-theta:
hkl 0 0 2, 2θ 15.33, 5.781 Å, I = 13; hkl 2 0 2, 2θ 37.38, 2.406 Å, I = 26; hkl 0 2 3, 2θ 40.15, 2.246 Å, I = 100; hkl 2 0 3, 2θ 41.40, 2.181 Å, I = 36; hkl 2 0 4, 2θ 46.54, 1.951 Å, I = 31; hkl 0 0 6, 2θ 47.17, 1.927 Å, I = 28; hkl 2 2 0, 2θ 47.58, 1.911 Å, I = 27; hkl 2 2 1, 2θ 48.27, 1.885 Å, I = 36; hkl 2 2 7, 2θ 76.18, 1.250 Å, I = 16; hkl 4 2 3, 2θ 85.13, 1.140 Å, I = 20

# 3
Structure and calculated powder XRD pattern of BaSb3Pb3 (a structure optimized by DFT (PBE); a wavelength of 1.5418 Å).
Lines closer than 0.1° are merged.

Structure:
```
data_BaSb3Pb3
_chemical_formula_sum 'Ba2 Sb6 Pb6'
_cell_length_a 8.5889
_cell_length_b 8.5889
_cell_length_c 8.5889
_cell_angle_alpha 90.00
_cell_angle_beta 90.00
_cell_angle_gamma 90.00
_symmetry_space_group_name_H-M 'P m -3 n'
_symmetry_Int_Tables_number 223
_symmetry_space_group_name_Hall '-P 4n 2 3'
loop_
_atom_site_label
_atom_site_fract_x
_atom_site_fract_y
_atom_site_fract_z
Ba1 0.0000 0.0000 0.0000
Sb1 0.0000 0.2500 0.5000
Pb1 0.0000 0.5000 0.2500
```

Largest 10 diffraction maxima, sorted by position, 10 to 90 degrees two-theta:
hkl 1 1 0, 2θ 14.59, 6.073 Å, I = 32; hkl 2 0 0, 2θ 20.68, 4.294 Å, I = 41; hkl 2 1 1, 2θ 25.40, 3.506 Å, I = 100; hkl 2 2 2, 2θ 36.23, 2.479 Å, I = 46; hkl 3 2 1, 2θ 39.25, 2.295 Å, I = 64; hkl 4 0 0, 2θ 42.08, 2.147 Å, I = 39; hkl 4 2 0, 2θ 47.33, 1.921 Å, I = 19; hkl 5 2 1, 2θ 58.89, 1.568 Å, I = 20; hkl 4 4 0, 2θ 61.03, 1.518 Å, I = 26; hkl 6 1 1, 2θ 67.19, 1.393 Å, I = 20

# 4
Structure and calculated powder XRD pattern of Nd3Er5 (a structure optimized by DFT (PBE); a wavelength of 1.5418 Å).
Lines closer than 0.1° are merged.

Structure:
```
data_Nd3Er5
_chemical_formula_sum 'Nd3 Er5'
_cell_length_a 3.5647
_cell_length_b 3.5647
_cell_length_c 20.2878
_cell_angle_alpha 90.00
_cell_angle_beta 90.00
_cell_angle_gamma 90.00
_symmetry_space_group_name_H-M 'P 4/m m m'
_symmetry_Int_Tables_number 123
_symmetry_space_group_name_Hall '-P 4 2'
loop_
_atom_site_label
_atom_site_fract_x
_atom_site_fract_y
_atom_site_fract_z
Nd1 0.0000 0.0000 0.0000
Nd2 0.5000 0.5000 0.1320
Er1 0.0000 0.0000 0.2586
Er2 0.0000 0.0000 0.5000
Er3 0.5000 0.5000 0.3794
```

Largest 10 diffraction maxima, sorted by position, 10 to 90 degrees two-theta:
hkl 1 0 4, 2θ 30.65, 2.916 Å, I = 100; hkl 0 0 8, 2θ 35.40, 2.536 Å, I = 16; hkl 1 1 0, 2θ 35.62, 2.521 Å, I = 34; hkl 1 1 8, 2θ 51.09, 1.788 Å, I = 23; hkl 2 0 0, 2θ 51.26, 1.782 Å, I = 12; hkl 1 0 12, 2θ 60.62, 1.528 Å, I = 12; hkl 2 1 4, 2θ 60.92, 1.521 Å, I = 29; hkl 2 0 8, 2θ 63.83, 1.458 Å, I = 12; hkl 2 1 12, 2θ 83.31, 1.160 Å, I = 10; hkl 3 0 4, 2θ 83.57, 1.157 Å, I = 6

# 5
Structure and calculated powder XRD pattern of Ta4Ti2Nb5 (a structure optimized by DFT (PBE); a wavelength of 1.5418 Å).
Lines closer than 0.1° are merged.

Structure:
```
data_Ta4Ti2Nb5
_chemical_formula_sum 'Ta4 Ti2 Nb5'
_cell_length_a 2.8272
_cell_length_b 7.2337
_cell_length_c 9.8303
_cell_angle_alpha 92.95
_cell_angle_beta 95.56
_cell_angle_gamma 97.33
_symmetry_space_group_name_H-M 'P -1'
_symmetry_Int_Tables_number 2
loop_
_symmetry_equiv_pos_as_xyz
'x,y,z'
'-x,-y,-z'
loop_
_atom_site_label
_atom_site_fract_x
_atom_site_fract_y
_atom_site_fract_z
Ta1 0.1097 0.3182 0.4523
Ta2 0.1660 0.1352 0.9104
Ti1 0.3817 0.7753 0.8180
Nb1 0.0000 0.5000 0.0000
Nb2 0.2800 0.9542 0.3631
Nb3 0.4369 0.5888 0.2718
```

Largest 10 diffraction maxima, sorted by position, 10 to 90 degrees two-theta:
hkl 0 1 1, 2θ 15.82, 5.604 Å, I = 17; hkl 0 3 -1, 2θ 38.21, 2.355 Å, I = 100; hkl 0 2 3, 2θ 38.62, 2.332 Å, I = 96; hkl 1 0 2, 2θ 38.86, 2.318 Å, I = 95; hkl 1 -3 3, 2θ 55.51, 1.655 Å, I = 17; hkl 1 3 1, 2θ 55.76, 1.649 Å, I = 33; hkl 1 4 -3, 2θ 69.24, 1.357 Å, I = 17; hkl 0 1 7, 2θ 69.52, 1.352 Å, I = 17; hkl 0 5 2, 2θ 69.66, 1.350 Å, I = 17; hkl 2 -2 1, 2θ 70.53, 1.335 Å, I = 23

# 6
Structure and calculated powder XRD pattern of Ce5Pb2N (a structure optimized by DFT (PBE); a wavelength of 1.5418 Å).
Lines closer than 0.1° are merged.

Structure:
```
data_Ce5Pb2N
_chemical_formula_sum 'Ce20 Pb8 N4'
_cell_length_a 5.1815
_cell_length_b 17.3096
_cell_length_c 11.6335
_cell_angle_alpha 90.00
_cell_angle_beta 90.00
_cell_angle_gamma 90.00
_symmetry_space_group_name_H-M 'C m c m'
_symmetry_Int_Tables_number 63
_symmetry_space_group_name_Hall '-C 2c 2'
loop_
_atom_site_label
_atom_site_fract_x
_atom_site_fract_y
_atom_site_fract_z
Ce1 0.0000 0.0724 0.1379
Ce2 0.0000 0.2741 0.0835
Ce3 0.0000 0.3059 0.7500
Pb1 0.0000 0.1207 0.6214
N1 0.0000 0.1909 0.2500
```

Largest 10 diffraction maxima, sorted by position, 10 to 90 degrees two-theta:
hkl 0 2 0, 2θ 10.22, 8.655 Å, I = 30; hkl 1 1 0, 2θ 17.87, 4.964 Å, I = 100; hkl 0 4 3, 2θ 30.98, 2.887 Å, I = 32; hkl 1 5 0, 2θ 31.07, 2.879 Å, I = 83; hkl 1 5 1, 2θ 32.01, 2.796 Å, I = 64; hkl 1 3 3, 2θ 32.76, 2.734 Å, I = 36; hkl 2 0 0, 2θ 34.63, 2.591 Å, I = 60; hkl 1 1 4, 2θ 35.78, 2.509 Å, I = 52; hkl 1 5 3, 2θ 38.97, 2.311 Å, I = 31; hkl 0 6 4, 2θ 44.25, 2.047 Å, I = 35

# 7
Structure and calculated powder XRD pattern of P2HIrAu (a structure optimized by DFT (PBE); a wavelength of 1.5418 Å).
Lines closer than 0.1° are merged.

Structure:
```
data_P2HIrAu
_chemical_formula_sum 'P4 H2 Ir2 Au2'
_cell_length_a 6.9528
_cell_length_b 3.7722
_cell_length_c 6.2780
_cell_angle_alpha 90.00
_cell_angle_beta 101.22
_cell_angle_gamma 90.00
_symmetry_space_group_name_H-M 'C 1 m 1'
_symmetry_Int_Tables_number 8
loop_
_symmetry_equiv_pos_as_xyz
'x,y,z'
'x,-y,z'
'x+1/2,y+1/2,z'
'x+1/2,-y+1/2,z'
loop_
_atom_site_label
_atom_site_fract_x
_atom_site_fract_y
_atom_site_fract_z
P1 0.0000 0.0000 0.0000
P2 0.1313 0.5000 0.6549
H1 0.4114 0.0000 0.6093
Ir1 0.2863 0.0000 0.8410
Au1 0.1084 0.0000 0.3741
```

Largest 10 diffraction maxima, sorted by position, 10 to 90 degrees two-theta:
hkl 1 1 0, 2θ 27.01, 3.301 Å, I = 100; hkl 2 0 -1, 2θ 27.32, 3.264 Å, I = 74; hkl 0 0 2, 2θ 29.00, 3.079 Å, I = 52; hkl 1 1 -1, 2θ 29.47, 3.031 Å, I = 31; hkl 1 1 1, 2θ 31.95, 2.801 Å, I = 25; hkl 1 1 -2, 2θ 38.04, 2.365 Å, I = 31; hkl 1 1 2, 2θ 41.97, 2.153 Å, I = 57; hkl 3 1 -1, 2θ 46.52, 1.952 Å, I = 40; hkl 3 1 1, 2θ 51.53, 1.773 Å, I = 28; hkl 2 2 -1, 2θ 56.34, 1.633 Å, I = 25

# 8
Structure and calculated powder XRD pattern of Hf5NbP3 (a structure optimized by DFT (PBE); a wavelength of 1.5418 Å).
Lines closer than 0.1° are merged.

Structure:
```
data_Hf5NbP3
_chemical_formula_sum 'Hf20 Nb4 P12'
_cell_length_a 10.9958
_cell_length_b 8.3681
_cell_length_c 8.9858
_cell_angle_alpha 90.00
_cell_angle_beta 114.75
_cell_angle_gamma 90.00
_symmetry_space_group_name_H-M 'C 1 2/m 1'
_symmetry_Int_Tables_number 12
loop_
_symmetry_equiv_pos_as_xyz
'x,y,z'
'-x,-y,-z'
'-x,y,-z'
'x,-y,z'
'x+1/2,y+1/2,z'
'-x+1/2,-y+1/2,-z'
'-x+1/2,y+1/2,-z'
'x+1/2,-y+1/2,z'
loop_
_atom_site_label
_atom_site_fract_x
_atom_site_fract_y
_atom_site_fract_z
Hf1 0.0000 0.2037 0.0000
Hf2 0.0509 0.0000 0.3506
Hf3 0.1576 0.2934 0.6814
Hf4 0.2403 0.5000 0.0402
Nb1 0.0888 0.5000 0.2960
P1 0.0000 0.5000 0.0000
P2 0.0000 0.5000 0.5000
P3 0.1690 0.0000 0.1710
P4 0.1791 0.0000 0.6543
```

Largest 10 diffraction maxima, sorted by position, 10 to 90 degrees two-theta:
hkl 2 2 -2, 2θ 30.47, 2.934 Å, I = 77; hkl 2 2 1, 2θ 32.63, 2.744 Å, I = 100; hkl 0 0 3, 2θ 32.88, 2.724 Å, I = 95; hkl 1 3 -1, 2θ 33.93, 2.642 Å, I = 31; hkl 3 1 -3, 2θ 34.41, 2.606 Å, I = 27; hkl 0 4 0, 2θ 43.26, 2.091 Å, I = 21; hkl 4 0 2, 2θ 50.20, 1.817 Å, I = 20; hkl 5 3 -2, 2θ 53.13, 1.724 Å, I = 21; hkl 1 3 -4, 2θ 53.23, 1.721 Å, I = 20; hkl 0 4 3, 2θ 55.37, 1.659 Å, I = 20

# 9
Structure and calculated powder XRD pattern of PrIn3Ag (a structure optimized by DFT (PBE); a wavelength of 1.5418 Å).
Lines closer than 0.1° are merged.

Structure:
```
data_PrIn3Ag
_chemical_formula_sum 'Pr2 In6 Ag2'
_cell_length_a 4.5627
_cell_length_b 4.5627
_cell_length_c 12.3419
_cell_angle_alpha 90.00
_cell_angle_beta 90.00
_cell_angle_gamma 90.00
_symmetry_space_group_name_H-M 'I 4 m m'
_symmetry_Int_Tables_number 107
_symmetry_space_group_name_Hall 'I 4 -2'
loop_
_atom_site_label
_atom_site_fract_x
_atom_site_fract_y
_atom_site_fract_z
Pr1 0.0000 0.0000 0.0000
In1 0.0000 0.0000 0.5982
In2 0.0000 0.5000 0.2537
Ag1 0.0000 0.0000 0.3845
```

Largest 10 diffraction maxima, sorted by position, 10 to 90 degrees two-theta:
hkl 1 0 3, 2θ 29.23, 3.055 Å, I = 37; hkl 1 1 2, 2θ 31.29, 2.859 Å, I = 100; hkl 2 0 0, 2θ 39.50, 2.281 Å, I = 53; hkl 1 1 4, 2θ 40.45, 2.230 Å, I = 23; hkl 1 0 5, 2θ 41.60, 2.171 Å, I = 33; hkl 2 1 3, 2θ 49.89, 1.828 Å, I = 17; hkl 2 2 0, 2θ 57.10, 1.613 Å, I = 17; hkl 2 1 5, 2θ 58.71, 1.573 Å, I = 23; hkl 3 1 2, 2θ 66.56, 1.405 Å, I = 22; hkl 2 0 8, 2θ 74.21, 1.278 Å, I = 11

# 10
Structure and calculated powder XRD pattern of Ac3Nd2Dy4 (a structure optimized by DFT (PBE); a wavelength of 1.5418 Å).
Lines closer than 0.1° are merged.

Structure:
```
data_Ac3Nd2Dy4
_chemical_formula_sum 'Ac6 Nd4 Dy8'
_cell_length_a 19.1571
_cell_length_b 3.7637
_cell_length_c 9.1182
_cell_angle_alpha 90.00
_cell_angle_beta 91.47
_cell_angle_gamma 90.00
_symmetry_space_group_name_H-M 'C 1 2/m 1'
_symmetry_Int_Tables_number 12
loop_
_symmetry_equiv_pos_as_xyz
'x,y,z'
'-x,-y,-z'
'-x,y,-z'
'x,-y,z'
'x+1/2,y+1/2,z'
'-x+1/2,-y+1/2,-z'
'-x+1/2,y+1/2,-z'
'x+1/2,-y+1/2,z'
loop_
_atom_site_label
_atom_site_fract_x
_atom_site_fract_y
_atom_site_fract_z
Ac1 0.0000 0.0000 0.0000
Ac2 0.1124 0.0000 0.6635
Nd1 0.1700 0.5000 0.0044
Dy1 0.0595 0.5000 0.3320
Dy2 0.2195 0.0000 0.3368
```

Largest 10 diffraction maxima, sorted by position, 10 to 90 degrees two-theta:
hkl 3 1 1, 2θ 29.38, 3.040 Å, I = 100; hkl 3 1 -2, 2θ 33.72, 2.658 Å, I = 35; hkl 6 0 2, 2θ 34.72, 2.583 Å, I = 16; hkl 0 2 0, 2θ 48.37, 1.882 Å, I = 7; hkl 3 1 4, 2θ 49.18, 1.853 Å, I = 24; hkl 0 2 3, 2θ 57.62, 1.600 Å, I = 15; hkl 3 1 -5, 2θ 57.70, 1.598 Å, I = 15; hkl 6 0 5, 2θ 58.99, 1.566 Å, I = 14; hkl 6 2 2, 2θ 60.93, 1.520 Å, I = 10; hkl 6 2 5, 2θ 79.70, 1.203 Å, I = 12

# 11
Structure and calculated powder XRD pattern of Sr3Ta2CdO9 (a structure optimized by DFT (PBE); a wavelength of 1.5418 Å).
Lines closer than 0.1° are merged.

Structure:
```
data_Sr3Ta2CdO9
_chemical_formula_sum 'Sr3 Ta2 Cd1 O9'
_cell_length_a 5.8320
_cell_length_b 5.8320
_cell_length_c 7.3051
_cell_angle_alpha 90.00
_cell_angle_beta 90.00
_cell_angle_gamma 120.00
_symmetry_space_group_name_H-M 'P -3 m 1'
_symmetry_Int_Tables_number 164
_symmetry_space_group_name_Hall '-P 3 2"'
loop_
_atom_site_label
_atom_site_fract_x
_atom_site_fract_y
_atom_site_fract_z
Sr1 0.0000 0.0000 0.0000
Sr2 0.3333 0.6667 0.6774
Ta1 0.3333 0.6667 0.1694
Cd1 0.0000 0.0000 0.5000
O1 0.0000 0.5000 0.0000
O2 0.1734 0.3468 0.3109
```

Largest 10 diffraction maxima, sorted by position, 10 to 90 degrees two-theta:
hkl 1 0 1, 2θ 21.39, 4.154 Å, I = 36; hkl 0 1 2, 2θ 30.20, 2.960 Å, I = 100; hkl 1 1 0, 2θ 30.66, 2.916 Å, I = 96; hkl 2 0 2, 2θ 43.57, 2.077 Å, I = 59; hkl 1 0 4, 2θ 53.34, 1.717 Å, I = 21; hkl 1 2 2, 2θ 54.22, 1.692 Å, I = 39; hkl 3 0 0, 2θ 54.51, 1.684 Å, I = 19; hkl 0 2 4, 2θ 62.79, 1.480 Å, I = 19; hkl 2 2 0, 2θ 63.84, 1.458 Å, I = 18; hkl 2 1 4, 2θ 71.49, 1.320 Å, I = 18

# 12
Structure and calculated powder XRD pattern of Tb4PmGa4 (a structure optimized by DFT (PBE); a wavelength of 1.5418 Å).
Lines closer than 0.1° are merged.

Structure:
```
data_Tb4PmGa4
_chemical_formula_sum 'Tb8 Pm2 Ga8'
_cell_length_a 10.0541
_cell_length_b 10.0541
_cell_length_c 4.8206
_cell_angle_alpha 90.00
_cell_angle_beta 90.00
_cell_angle_gamma 90.00
_symmetry_space_group_name_H-M 'I 4/m'
_symmetry_Int_Tables_number 87
_symmetry_space_group_name_Hall '-I 4'
loop_
_atom_site_label
_atom_site_fract_x
_atom_site_fract_y
_atom_site_fract_z
Tb1 0.1301 0.3570 0.0000
Pm1 0.0000 0.0000 0.0000
Ga1 0.0733 0.1745 0.5000
```

Largest 10 diffraction maxima, sorted by position, 10 to 90 degrees two-theta:
hkl 1 2 1, 2θ 27.12, 3.288 Å, I = 100; hkl 1 3 0, 2θ 28.07, 3.179 Å, I = 42; hkl 3 0 1, 2θ 32.54, 2.752 Å, I = 15; hkl 4 0 0, 2θ 35.72, 2.514 Å, I = 18; hkl 0 0 2, 2θ 37.27, 2.413 Å, I = 97; hkl 4 1 1, 2θ 41.50, 2.176 Å, I = 24; hkl 1 3 2, 2θ 47.33, 1.921 Å, I = 20; hkl 4 0 2, 2θ 52.59, 1.740 Å, I = 24; hkl 4 4 2, 2θ 65.21, 1.431 Å, I = 15; hkl 7 3 2, 2θ 83.49, 1.158 Å, I = 14

# 13
Structure and calculated powder XRD pattern of CrCdSbI2 (a structure optimized by DFT (PBE); a wavelength of 1.5418 Å).
Lines closer than 0.1° are merged.

Structure:
```
data_CrCdSbI2
_chemical_formula_sum 'Cr1 Cd1 Sb1 I2'
_cell_length_a 5.5183
_cell_length_b 5.5183
_cell_length_c 5.3614
_cell_angle_alpha 90.00
_cell_angle_beta 90.00
_cell_angle_gamma 90.00
_symmetry_space_group_name_H-M 'P 4/m m m'
_symmetry_Int_Tables_number 123
_symmetry_space_group_name_Hall '-P 4 2'
loop_
_atom_site_label
_atom_site_fract_x
_atom_site_fract_y
_atom_site_fract_z
Cr1 0.0000 0.0000 0.0000
Cd1 0.5000 0.5000 0.5000
Sb1 0.0000 0.0000 0.5000
I1 0.0000 0.5000 0.0000
```

Largest 10 diffraction maxima, sorted by position, 10 to 90 degrees two-theta:
hkl 1 1 1, 2θ 28.29, 3.155 Å, I = 100; hkl 2 0 0, 2θ 32.45, 2.759 Å, I = 55; hkl 0 0 2, 2θ 33.43, 2.681 Å, I = 25; hkl 2 2 0, 2θ 46.55, 1.951 Å, I = 19; hkl 2 0 2, 2θ 47.28, 1.923 Å, I = 37; hkl 3 1 1, 2θ 55.37, 1.659 Å, I = 30; hkl 1 1 3, 2θ 56.65, 1.625 Å, I = 14; hkl 2 2 2, 2θ 58.51, 1.577 Å, I = 19; hkl 3 1 3, 2θ 76.26, 1.249 Å, I = 12; hkl 4 2 2, 2θ 86.91, 1.121 Å, I = 13